Structure and calculated powder XRD pattern of BaTbAgS3 (a PBE-relaxed structure; Cu Kα, 1.54184 Å).
Neutral-atom scattering factors, no anomalous dispersion.

The 10 most intense peaks (2θ from 10° to 90°), by intensity:
d/Å  I (rel.)
2.970  100
3.335  64
2.874  36
3.483  29
2.079  26
2.047  22
3.421  20
2.158  19
2.052  15
1.667  15

Atomic structure:
```
BaTbAgS3
1.0
8.851 -2.047 0.000
8.851 2.047 0.000
-1.950 0.000 8.411
Ba Tb Ag S
2 2 2 6
direct
0.135 0.135 0.069
0.865 0.865 0.931
0.164 0.164 0.582
0.836 0.836 0.418
0.484 0.484 0.291
0.516 0.516 0.709
0.000 0.000 0.500
0.324 0.324 0.198
0.325 0.325 0.630
0.500 0.500 0.000
0.675 0.675 0.370
0.676 0.676 0.802
```

Structure and calculated powder XRD pattern of Sr7Ge6 (a PBE-relaxed structure; Cu Kα, 1.54184 Å).
Neutral-atom scattering factors, no anomalous dispersion.

The 10 most intense peaks (2θ from 10° to 90°), by intensity:
d/Å  I (rel.)
3.058  100
2.955  87
2.914  81
2.500  60
3.185  48
2.679  42
2.853  35
1.737  34
2.629  30
2.816  28

Atomic structure:
```
Sr7Ge6
1.0
7.839 0.000 0.000
0.000 23.752 0.000
0.000 0.000 8.612
Sr Ge
28 24
direct
0.029 0.162 0.180
0.029 0.338 0.180
0.135 0.640 0.317
0.135 0.860 0.317
0.162 0.518 0.678
0.162 0.982 0.678
0.199 0.250 0.528
0.301 0.750 0.028
0.338 0.018 0.178
0.338 0.482 0.178
0.365 0.140 0.817
0.365 0.360 0.817
0.471 0.662 0.680
0.471 0.838 0.680
0.529 0.162 0.320
0.529 0.338 0.320
0.635 0.640 0.183
0.635 0.860 0.183
0.662 0.518 0.822
0.662 0.982 0.822
0.699 0.250 0.972
0.801 0.750 0.472
0.838 0.018 0.322
0.838 0.482 0.322
0.865 0.140 0.683
0.865 0.360 0.683
0.971 0.662 0.820
0.971 0.838 0.820
0.004 0.552 0.038
0.004 0.948 0.038
0.094 0.250 0.882
0.177 0.750 0.592
0.198 0.097 0.472
0.198 0.403 0.472
0.302 0.597 0.972
0.302 0.903 0.972
0.323 0.250 0.092
0.406 0.750 0.382
0.496 0.052 0.538
0.496 0.448 0.538
0.504 0.552 0.462
0.504 0.948 0.462
0.594 0.250 0.618
0.677 0.750 0.908
0.698 0.097 0.028
0.698 0.403 0.028
0.802 0.597 0.528
0.802 0.903 0.528
0.823 0.250 0.408
0.906 0.750 0.118
0.996 0.052 0.962
0.996 0.448 0.962
```

Structure and calculated powder XRD pattern of NaCaAlSi2O7 (a PBE-relaxed structure; Cu Kα, 1.54184 Å).
Neutral-atom scattering factors, no anomalous dispersion.

The 10 most intense peaks (2θ from 10° to 90°), by intensity:
d/Å  I (rel.)
2.795  100
3.613  38
2.417  22
1.980  21
1.713  20
4.858  17
2.164  16
1.389  16
1.943  15
1.911  14

Atomic structure:
```
NaCaAlSi2O7
1.0
7.642 0.000 0.000
0.000 7.642 0.000
0.000 0.000 9.716
Na Ca Al Si O
4 4 4 8 28
direct
0.140 0.360 0.481
0.360 0.860 0.519
0.640 0.140 0.519
0.860 0.640 0.481
0.138 0.362 0.972
0.362 0.862 0.028
0.638 0.138 0.028
0.862 0.638 0.972
0.000 0.000 0.000
0.000 0.000 0.500
0.500 0.500 0.000
0.500 0.500 0.500
0.149 0.649 0.198
0.149 0.649 0.685
0.351 0.149 0.315
0.351 0.149 0.802
0.649 0.851 0.315
0.649 0.851 0.802
0.851 0.351 0.198
0.851 0.351 0.685
0.000 0.500 0.147
0.000 0.500 0.642
0.079 0.822 0.104
0.083 0.832 0.613
0.148 0.648 0.853
0.163 0.663 0.357
0.168 0.083 0.387
0.178 0.079 0.896
0.322 0.579 0.104
0.332 0.583 0.613
0.337 0.163 0.643
0.352 0.148 0.147
0.417 0.332 0.387
0.421 0.322 0.896
0.500 0.000 0.358
0.500 0.000 0.853
0.579 0.678 0.896
0.583 0.668 0.387
0.648 0.852 0.147
0.663 0.837 0.643
0.668 0.417 0.613
0.678 0.421 0.104
0.822 0.921 0.896
0.832 0.917 0.387
0.837 0.337 0.357
0.852 0.352 0.853
0.917 0.168 0.613
0.921 0.178 0.104
```

Structure and calculated powder XRD pattern of KNaNbOF5 (a PBE-relaxed structure; Cu Kα, 1.54184 Å).
Neutral-atom scattering factors, no anomalous dispersion.

The 10 most intense peaks (2θ from 10° to 90°), by intensity:
d/Å  I (rel.)
3.346  100
4.506  94
4.888  92
3.281  75
4.145  47
5.369  44
1.762  32
1.894  31
2.073  30
2.253  24

Atomic structure:
```
KNaNbOF5
1.0
12.102 0.000 0.000
0.000 5.991 0.000
0.000 0.000 8.291
K Na Nb O F
4 4 4 4 20
direct
0.039 0.032 0.000
0.461 0.532 0.500
0.539 0.468 0.000
0.961 0.968 0.500
0.138 0.548 0.247
0.362 0.048 0.747
0.638 0.952 0.247
0.862 0.452 0.747
0.152 0.541 0.740
0.348 0.041 0.240
0.652 0.959 0.740
0.848 0.459 0.240
0.222 0.901 0.200
0.278 0.401 0.700
0.722 0.599 0.200
0.778 0.099 0.700
0.003 0.283 0.277
0.047 0.285 0.704
0.127 0.648 0.516
0.139 0.464 0.973
0.212 0.836 0.803
0.288 0.336 0.303
0.361 0.964 0.473
0.373 0.148 0.016
0.453 0.785 0.204
0.497 0.783 0.777
0.503 0.217 0.277
0.547 0.215 0.704
0.627 0.852 0.516
0.639 0.036 0.973
0.712 0.664 0.803
0.788 0.164 0.303
0.861 0.536 0.473
0.873 0.352 0.016
0.953 0.715 0.204
0.997 0.717 0.777
```